Diffraction record for RbMg14Bi. The powder diffraction line list is simulated, not measured: it uses a crystal structure in the Materials Project, relaxed with PBE and Cu Kα.

a = 6.570 Å, b = 6.570 Å, c = 10.917 Å
α = 90.00°, β = 90.00°, γ = 120.00°
Sites, in units of the cell vectors:
Rb 0.000 0.000 0.000
Mg 0.005 0.502 0.000
Mg 0.172 0.345 0.257
Mg 0.172 0.345 0.743
Mg 0.172 0.828 0.257
Mg 0.172 0.828 0.743
Mg 0.498 0.502 0.000
Mg 0.498 0.995 0.000
Mg 0.502 0.003 0.500
Mg 0.502 0.498 0.500
Mg 0.655 0.828 0.257
Mg 0.655 0.828 0.743
Mg 0.667 0.333 0.246
Mg 0.667 0.333 0.754
Mg 0.997 0.498 0.500
Bi 0.000 0.000 0.500

Largest 10 diffraction maxima, sorted by position, 2θ = 5–70°:
- (0 0 1), 2θ 8.10, d 10.917, I = 21
- (1 0 0), 2θ 15.57, d 5.690, I = 59
- (1 0 1), 2θ 17.58, d 5.045, I = 23
- (1 0 2), 2θ 22.57, d 3.939, I = 57
- (2 0 0), 2θ 31.45, d 2.845, I = 31
- (1 1 2), 2θ 31.79, d 2.815, I = 23
- (0 0 4), 2θ 32.82, d 2.729, I = 26
- (2 0 2), 2θ 35.59, d 2.523, I = 100
- (2 0 4), 2θ 46.09, d 1.969, I = 22
- (2 0 6), 2θ 60.39, d 1.533, I = 23